[1]
Diffraction record for PmZr4Ge4. The powder XRD pattern is simulated, not measured: it uses a DFT-relaxed cell (GGA-PBE, Alexandria) and Cu Kα (weighted mean of Kα1 and Kα2).
No peak broadening, texture or thermal motion is included.

Main lines, in order of falling intensity (2θ from 10° to 90°):
31.6°, intensity 100
45.3°, intensity 56
34.7°, intensity 48
19.2°, intensity 38
40.0°, intensity 36
27.8°, intensity 23
45.0°, intensity 22
62.2°, intensity 18
40.3°, intensity 15
46.5°, intensity 14

Structural model:
Lattice parameters (Å, degrees): 8.952 8.952 5.392 90.00 90.00 90.00
Fractional positions:
Pm 0.250 0.250 0.250
Pm 0.750 0.750 0.750
Zr 0.110 0.636 0.139
Zr 0.136 0.890 0.639
Zr 0.364 0.610 0.639
Zr 0.390 0.864 0.139
Zr 0.610 0.136 0.861
Zr 0.636 0.390 0.361
Zr 0.864 0.110 0.361
Zr 0.890 0.364 0.861
Ge 0.052 0.600 0.651
Ge 0.100 0.948 0.151
Ge 0.400 0.552 0.151
Ge 0.448 0.900 0.651
Ge 0.552 0.100 0.349
Ge 0.600 0.448 0.849
Ge 0.900 0.052 0.849
Ge 0.948 0.400 0.349

***

[2]
Diffraction record for Pr4Ge7. The powder XRD pattern is simulated, not measured: it uses a DFT-relaxed cell (GGA-PBE, Alexandria) and Cu Kα (weighted mean of Kα1 and Kα2).
No peak broadening, texture or thermal motion is included.

Main lines, in order of falling intensity (2θ from 10° to 90°):
32.1°, intensity 100
38.1°, intensity 47
28.1°, intensity 41
42.0°, intensity 38
58.0°, intensity 21
49.9°, intensity 18
70.6°, intensity 17
67.3°, intensity 17
51.3°, intensity 9
33.6°, intensity 7

Structural model:
Lattice parameters (Å, degrees): 7.688 7.688 12.166 90.00 90.00 133.48
Fractional positions:
Pr 0.004 0.996 0.750
Pr 0.020 0.510 0.120
Pr 0.486 0.486 0.500
Pr 0.490 0.980 0.380
Pr 0.510 0.020 0.880
Pr 0.514 0.514 0.000
Pr 0.980 0.490 0.620
Pr 0.996 0.004 0.250
Ge 0.069 0.893 0.490
Ge 0.080 0.424 0.371
Ge 0.107 0.931 0.010
Ge 0.179 0.476 0.838
Ge 0.424 0.080 0.629
Ge 0.438 0.562 0.250
Ge 0.476 0.179 0.162
Ge 0.524 0.821 0.662
Ge 0.562 0.438 0.750
Ge 0.576 0.920 0.129
Ge 0.821 0.524 0.338
Ge 0.893 0.069 0.510
Ge 0.920 0.576 0.871
Ge 0.931 0.107 0.990